Diffraction record for LaTbY2Ho. The XRD peak list is computed, not measured: it uses DFT lattice parameters and positions (PBE) and Cu Ka.
Kinematic intensities with the Lorentz-polarization factor, no thermal factor.

```
5
Lattice="3.6118 0.0000 0.0000 0.0000 5.5867 0.0000 0.0000 0.0000 8.6778" Properties=species:S:1:pos:R:3 pbc="T T T"
La 0.0000 0.0000 0.0000
Tb 1.8059 2.7934 0.0000
Y 0.0000 2.7934 2.7807
Y 0.0000 2.7934 5.8971
Ho 1.8059 0.0000 4.3389
```

Peak list (8 most intense, 2θ from 15° to 90°, sorted by position)
d (Å)  I (rel.)
4.339  28.8
3.427  18.7
2.863  100.0
2.793  33.4
2.569  16.8
2.486  14.4
1.626  18.5
1.506  18.1


Diffraction record for Nb3Cu3C. The XRD peak list is computed, not measured: it uses DFT lattice parameters and positions (PBE) and Cu Ka.
Kinematic intensities with the Lorentz-polarization factor, no thermal factor.

```
28
Lattice="0.0000 5.8071 5.8071 5.8071 0.0000 5.8071 5.8071 5.8071 0.0000" Properties=species:S:1:pos:R:3 pbc="T T T"
Nb 4.3553 4.3553 0.6716
Nb 4.3553 0.6716 4.3553
Nb 8.0391 4.3553 4.3553
Nb 7.2589 7.2589 3.5751
Nb 7.2589 3.5751 7.2589
Nb 10.9427 7.2589 7.2589
Nb 0.6716 4.3553 4.3553
Nb 4.3553 8.0391 4.3553
Nb 4.3553 4.3553 8.0391
Nb 3.5751 7.2589 7.2589
Nb 7.2589 10.9427 7.2589
Nb 7.2589 7.2589 10.9427
Cu 5.8071 2.9036 2.9036
Cu 3.4131 3.4131 3.4131
Cu 5.2976 5.2976 3.4131
Cu 5.2976 3.4131 5.2976
Cu 8.2012 6.3166 6.3166
Cu 2.9036 5.8071 2.9036
Cu 2.9036 2.9036 5.8071
Cu 5.8071 5.8071 5.8071
Cu 3.4131 5.2976 5.2976
Cu 6.3166 8.2012 6.3166
Cu 6.3166 6.3166 8.2012
Cu 8.2012 8.2012 8.2012
C 0.0000 0.0000 0.0000
C 2.9036 2.9036 0.0000
C 2.9036 0.0000 2.9036
C 0.0000 2.9036 2.9036
```

Peak list (8 most intense, 2θ from 15° to 90°, sorted by position)
d (Å)  I (rel.)
2.664  16.3
2.371  40.9
2.235  100.0
2.053  17.8
1.936  8.0
1.369  37.6
1.341  8.0
1.167  18.9


Diffraction record for GeAsSe. The XRD peak list is computed, not measured: it uses DFT lattice parameters and positions (PBE) and Cu Ka.
Kinematic intensities with the Lorentz-polarization factor, no thermal factor.

```
24
Lattice="5.1410 0.0000 0.0000 0.0000 10.3823 0.0000 0.0000 0.0000 12.8417" Properties=species:S:1:pos:R:3 pbc="T T T"
Ge 1.0374 2.5956 3.2104
Ge 1.2852 0.0000 9.3956
Ge 1.2852 5.1912 9.8668
Ge 1.5331 7.7867 3.2104
Ge 3.6079 2.5956 9.6312
Ge 3.8557 0.0000 3.4460
Ge 3.8557 5.1912 2.9748
Ge 4.1036 7.7867 9.6312
As 0.4026 6.0675 4.6197
As 0.4026 9.5060 1.8011
As 2.1679 0.8764 1.8011
As 2.1679 4.3148 4.6197
As 2.9731 6.0675 8.2220
As 2.9731 9.5060 11.0405
As 4.7383 0.8764 11.0405
As 4.7383 4.3148 8.2220
Se 0.3741 6.8356 11.3415
Se 0.3741 8.7379 7.9210
Se 2.1964 1.6444 7.9210
Se 2.1964 3.5467 11.3415
Se 2.9446 6.8356 1.5001
Se 2.9446 8.7379 4.9207
Se 4.7669 1.6444 4.9207
Se 4.7669 3.5467 1.5001
```

Peak list (8 most intense, 2θ from 15° to 90°, sorted by position)
d (Å)  I (rel.)
3.743  34.5
3.513  21.2
3.175  100.0
2.779  38.3
2.018  23.3
2.007  20.4
1.970  17.8
1.847  17.3


Diffraction record for Tm5PdRu4. The XRD peak list is computed, not measured: it uses DFT lattice parameters and positions (PBE) and Cu Ka.
Kinematic intensities with the Lorentz-polarization factor, no thermal factor.

```
10
Lattice="3.3837 0.0000 0.0000 0.0000 3.3837 0.0000 0.0000 0.0000 16.7583" Properties=species:S:1:pos:R:3 pbc="T T T"
Tm 0.0000 0.0000 0.0000
Tm 0.0000 0.0000 3.3179
Tm 0.0000 0.0000 6.6091
Tm 0.0000 0.0000 10.1492
Tm 0.0000 0.0000 13.4404
Pd 1.6918 1.6918 8.3792
Ru 1.6918 1.6918 1.6690
Ru 1.6918 1.6918 5.0486
Ru 1.6918 1.6918 11.7097
Ru 1.6918 1.6918 15.0893
```

Peak list (8 most intense, 2θ from 15° to 90°, sorted by position)
d (Å)  I (rel.)
3.384  6.8
2.393  51.2
2.381  100.0
1.692  17.8
1.676  8.3
1.379  35.4
1.373  17.0
1.191  10.7